# Ac5Au2N
Theoretical X-ray diffraction stick pattern, copper Kα. Input: a GGA-PBE-relaxed structure.
Lines closer than 0.1° are merged.

Largest 12 diffraction maxima, low angle first, 2θ from 10° to 90°:
(hkl)	2θ/deg	Rel. int.
1 1 -2	26.1	30.6
5 1 0	27.0	88.4
0 2 1	27.5	50.8
4 0 -2	28.4	97.3
2 2 -1	28.7	100.0
2 2 1	29.5	88.0
4 0 2	31.3	94.7
4 2 0	31.6	48.6
0 2 2	34.1	75.4
1 1 -3	36.7	46.5
5 3 -1	46.2	29.8
10 0 0	48.9	40.2

Crystal structure
```
data_Ac5Au2N
_cell_length_a 18.699
_cell_length_b 7.137
_cell_length_c 7.835
_cell_angle_alpha 90.00
_cell_angle_beta 95.56
_cell_angle_gamma 90.00
_space_group_name_H-M_alt 'C 1 2/c 1'
_space_group_IT_number 15
loop_
_space_group_symop_operation_xyz
'x,y,z'
'-x,-y,-z'
'-x,y,-z+1/2'
'x,-y,z+1/2'
'x+1/2,y+1/2,z'
'-x+1/2,-y+1/2,-z'
'-x+1/2,y+1/2,-z+1/2'
'x+1/2,-y+1/2,z+1/2'
loop_
_atom_site_label
_atom_site_type_symbol
_atom_site_fract_x
_atom_site_fract_y
_atom_site_fract_z
Ac1 Ac 0.000 0.067 0.250
Ac2 Ac 0.114 0.376 0.939
Ac3 Ac 0.219 0.065 0.298
Au1 Au 0.108 0.198 0.564
N1 N 0.250 0.250 0.000
```

=====

# Ac7Pb2AuN2
Theoretical X-ray diffraction stick pattern, copper Kα. Input: a GGA-PBE-relaxed structure.
Lines closer than 0.1° are merged.

Largest 12 diffraction maxima, low angle first, 2θ from 10° to 90°:
(hkl)	2θ/deg	Rel. int.
2 0 -2	24.6	14.3
2 0 -3	27.1	39.7
2 0 2	30.8	100.0
0 0 5	32.3	19.6
2 2 -1	33.9	56.1
2 2 -6	47.5	27.3
0 4 0	48.7	20.7
4 2 -4	56.6	10.9
4 2 1	58.7	37.8
0 2 8	58.8	12.6
4 0 -7	59.6	14.0
6 0 0	79.7	14.3

Crystal structure
```
data_Ac7Pb2AuN2
_cell_length_a 7.484
_cell_length_b 7.484
_cell_length_c 14.341
_cell_angle_alpha 90.00
_cell_angle_beta 105.10
_cell_angle_gamma 90.00
_space_group_name_H-M_alt 'C 1 2/m 1'
_space_group_IT_number 12
loop_
_space_group_symop_operation_xyz
'x,y,z'
'-x,-y,-z'
'-x,y,-z'
'x,-y,z'
'x+1/2,y+1/2,z'
'-x+1/2,-y+1/2,-z'
'-x+1/2,y+1/2,-z'
'x+1/2,-y+1/2,z'
loop_
_atom_site_label
_atom_site_type_symbol
_atom_site_fract_x
_atom_site_fract_y
_atom_site_fract_z
Ac1 Ac 0.000 0.000 0.000
Ac2 Ac 0.158 0.250 0.816
Ac3 Ac 0.194 0.000 0.390
Pb1 Pb 0.177 0.500 0.356
Au1 Au 0.000 0.500 0.000
N1 N 0.100 0.000 0.200
```

=====

# Ac3PtAuN
Theoretical X-ray diffraction stick pattern, copper Kα. Input: a GGA-PBE-relaxed structure.
Lines closer than 0.1° are merged.

Largest 12 diffraction maxima, low angle first, 2θ from 10° to 90°:
(hkl)	2θ/deg	Rel. int.
1 0 -1	12.2	16.0
0 0 3	28.0	72.2
2 1 0	28.4	55.5
2 1 -1	28.8	100.0
1 1 2	30.5	14.6
2 1 2	36.0	43.9
2 1 -3	37.7	17.5
4 0 -1	39.2	13.8
0 2 0	41.4	29.9
2 1 3	42.8	12.8
2 1 -4	44.8	40.3
0 2 3	50.7	30.7

Crystal structure
```
data_Ac3PtAuN
_cell_length_a 9.219
_cell_length_b 4.364
_cell_length_c 9.693
_cell_angle_alpha 90.00
_cell_angle_beta 100.05
_cell_angle_gamma 90.00
_space_group_name_H-M_alt 'P 1 21/m 1'
_space_group_IT_number 11
loop_
_space_group_symop_operation_xyz
'x,y,z'
'-x,-y,-z'
'-x,y+1/2,-z'
'x,-y+1/2,z'
loop_
_atom_site_label
_atom_site_type_symbol
_atom_site_fract_x
_atom_site_fract_y
_atom_site_fract_z
Ac1 Ac 0.076 0.250 0.341
Ac2 Ac 0.327 0.250 0.982
Ac3 Ac 0.387 0.750 0.650
Pt1 Pt 0.150 0.250 0.651
Au1 Au 0.327 0.750 0.289
N1 N 0.416 0.750 0.896
```

=====

# NaAcAu
Theoretical X-ray diffraction stick pattern, copper Kα. Input: a GGA-PBE-relaxed structure.
Lines closer than 0.1° are merged.

Largest 12 diffraction maxima, low angle first, 2θ from 10° to 90°:
(hkl)	2θ/deg	Rel. int.
0 0 3	24.6	56.1
2 0 0	28.3	100.0
2 0 -1	29.5	47.6
0 0 4	32.9	22.3
2 0 3	37.8	74.8
2 2 0	40.4	39.1
2 2 -1	41.3	19.7
0 2 4	44.0	30.5
2 2 3	47.9	38.7
2 2 -4	53.1	23.7
4 2 0	66.2	18.5
4 2 3	71.8	23.7

Crystal structure
```
data_NaAcAu
_cell_length_a 6.313
_cell_length_b 6.313
_cell_length_c 10.876
_cell_angle_alpha 90.00
_cell_angle_beta 90.06
_cell_angle_gamma 90.00
_space_group_name_H-M_alt 'C 1 2/m 1'
_space_group_IT_number 12
loop_
_space_group_symop_operation_xyz
'x,y,z'
'-x,-y,-z'
'-x,y,-z'
'x,-y,z'
'x+1/2,y+1/2,z'
'-x+1/2,-y+1/2,-z'
'-x+1/2,y+1/2,-z'
'x+1/2,-y+1/2,z'
loop_
_atom_site_label
_atom_site_type_symbol
_atom_site_fract_x
_atom_site_fract_y
_atom_site_fract_z
Na1 Na 0.249 0.000 0.080
Ac1 Ac 0.249 0.500 0.352
Au1 Au 0.250 0.000 0.351
```

=====

# NaAcAu
Theoretical X-ray diffraction stick pattern, copper Kα. Input: a GGA-PBE-relaxed structure.
Lines closer than 0.1° are merged.

Largest 12 diffraction maxima, low angle first, 2θ from 10° to 90°:
(hkl)	2θ/deg	Rel. int.
1 1 1	20.8	89.8
2 0 0	24.1	1.4
2 2 0	34.3	100.0
3 1 1	40.5	50.8
4 0 0	49.3	18.3
3 3 1	54.1	22.3
4 2 2	61.5	38.0
5 1 1	65.7	16.9
4 4 0	72.3	11.8
5 3 1	76.2	16.8
6 2 0	82.6	16.9
5 3 3	86.3	6.4

Crystal structure
```
data_NaAcAu
_cell_length_a 7.389
_cell_length_b 7.389
_cell_length_c 7.389
_cell_angle_alpha 90.00
_cell_angle_beta 90.00
_cell_angle_gamma 90.00
_space_group_name_H-M_alt 'F -4 3 m'
_space_group_IT_number 216
_space_group_name_Hall 'F -4 2 3'
loop_
_atom_site_label
_atom_site_type_symbol
_atom_site_fract_x
_atom_site_fract_y
_atom_site_fract_z
Na1 Na 0.000 0.000 0.000
Ac1 Ac 0.000 0.000 0.500
Au1 Au 0.250 0.250 0.750
```

=====

# NaAcAu3
Theoretical X-ray diffraction stick pattern, copper Kα. Input: a GGA-PBE-relaxed structure.
Lines closer than 0.1° are merged.

Largest 12 diffraction maxima, low angle first, 2θ from 10° to 90°:
(hkl)	2θ/deg	Rel. int.
0 4 0	12.9	17.2
1 1 0	22.9	20.1
1 5 0	27.9	22.5
1 3 1	31.0	100.0
1 7 0	32.2	42.0
1 5 1	33.7	21.7
0 0 2	37.3	54.0
0 10 1	37.7	80.7
2 0 0	46.3	23.6
1 7 2	50.1	26.3
2 0 2	60.9	21.0
2 10 1	61.1	40.6

Crystal structure
```
data_NaAcAu3
_cell_length_a 3.922
_cell_length_b 27.505
_cell_length_c 4.820
_cell_angle_alpha 90.00
_cell_angle_beta 90.00
_cell_angle_gamma 90.00
_space_group_name_H-M_alt 'C m c m'
_space_group_IT_number 63
_space_group_name_Hall '-C 2c 2'
loop_
_atom_site_label
_atom_site_type_symbol
_atom_site_fract_x
_atom_site_fract_y
_atom_site_fract_z
Na1 Na 0.000 0.211 0.250
Ac1 Ac 0.000 0.077 0.750
Au1 Au 0.000 0.323 0.250
Au2 Au 0.000 0.374 0.750
Au3 Au 0.000 0.475 0.750
```

=====

Q: What is the formula in the fifth record?
A: NaAcAu

=====

Copy entry 2 word for word.
# Ac7Pb2AuN2
Theoretical X-ray diffraction stick pattern, copper Kα. Input: a GGA-PBE-relaxed structure.
Lines closer than 0.1° are merged.

Largest 12 diffraction maxima, low angle first, 2θ from 10° to 90°:
(hkl)	2θ/deg	Rel. int.
2 0 -2	24.6	14.3
2 0 -3	27.1	39.7
2 0 2	30.8	100.0
0 0 5	32.3	19.6
2 2 -1	33.9	56.1
2 2 -6	47.5	27.3
0 4 0	48.7	20.7
4 2 -4	56.6	10.9
4 2 1	58.7	37.8
0 2 8	58.8	12.6
4 0 -7	59.6	14.0
6 0 0	79.7	14.3

Crystal structure
```
data_Ac7Pb2AuN2
_cell_length_a 7.484
_cell_length_b 7.484
_cell_length_c 14.341
_cell_angle_alpha 90.00
_cell_angle_beta 105.10
_cell_angle_gamma 90.00
_space_group_name_H-M_alt 'C 1 2/m 1'
_space_group_IT_number 12
loop_
_space_group_symop_operation_xyz
'x,y,z'
'-x,-y,-z'
'-x,y,-z'
'x,-y,z'
'x+1/2,y+1/2,z'
'-x+1/2,-y+1/2,-z'
'-x+1/2,y+1/2,-z'
'x+1/2,-y+1/2,z'
loop_
_atom_site_label
_atom_site_type_symbol
_atom_site_fract_x
_atom_site_fract_y
_atom_site_fract_z
Ac1 Ac 0.000 0.000 0.000
Ac2 Ac 0.158 0.250 0.816
Ac3 Ac 0.194 0.000 0.390
Pb1 Pb 0.177 0.500 0.356
Au1 Au 0.000 0.500 0.000
N1 N 0.100 0.000 0.200
```